# 1
Structure and simulated PXRD pattern of TeP2Br8 (a crystal structure in Alexandria, relaxed with PBE; Cu Kα (λ = 1.5418 Å)).
Intensities are scaled so that the largest is 100.

Atomic structure:
Cell lengths 8.1948, 8.2746, 9.3180 Å; angles 104.95, 94.01, 118.98 degrees
Fractional positions:
1 Te 0.0000 0.0000 0.0000
2 P 0.0789 0.6544 0.4024
3 P 0.9211 0.3456 0.5976
4 Br 0.1927 0.5204 0.7800
5 Br 0.2131 0.9523 0.3749
6 Br 0.2627 0.5447 0.3000
7 Br 0.3384 0.1307 0.9345
8 Br 0.6616 0.8693 0.0655
9 Br 0.7373 0.4553 0.7000
10 Br 0.7869 0.0477 0.6251
11 Br 0.8073 0.4796 0.2200

Top 6 peaks for 2θ = 10–90°, by angle:
| d [Å] | intensity |
| --- | --- |
| 4.418 | 100 |
| 4.167 | 54 |
| 3.994 | 45 |
| 3.410 | 68 |
| 3.375 | 45 |
| 2.286 | 54 |

***

# 2
Structure and simulated PXRD pattern of Ba2SiP3 (a crystal structure in Alexandria, relaxed with PBE; Cu Kα (λ = 1.5418 Å)).
Intensities are scaled so that the largest is 100.

Atomic structure:
Cell lengths 7.5379, 7.5379, 15.5298 Å; angles 90.01, 90.01, 129.86 degrees
Fractional positions:
1 Ba 0.0512 0.4486 0.6543
2 Ba 0.1430 0.3569 0.0634
3 Ba 0.3569 0.1430 0.5634
4 Ba 0.4486 0.0512 0.1543
5 Ba 0.5514 0.9488 0.8457
6 Ba 0.6431 0.8570 0.4366
7 Ba 0.8570 0.6431 0.9366
8 Ba 0.9488 0.5514 0.3457
9 Si 0.2440 0.2562 0.8444
10 Si 0.2562 0.2440 0.3444
11 Si 0.7438 0.7560 0.6556
12 Si 0.7560 0.7438 0.1556
13 P 0.0645 0.9355 0.7500
14 P 0.0840 0.4163 0.8618
15 P 0.1533 0.3470 0.4562
16 P 0.3470 0.1533 0.9562
17 P 0.4163 0.0840 0.3618
18 P 0.4355 0.5645 0.2500
19 P 0.5645 0.4355 0.7500
20 P 0.5837 0.9160 0.6382
21 P 0.6530 0.8467 0.0438
22 P 0.8467 0.6530 0.5438
23 P 0.9160 0.5837 0.1382
24 P 0.9355 0.0645 0.2500

Top 6 peaks for 2θ = 10–90°, by angle:
| d [Å] | intensity |
| --- | --- |
| 3.858 | 54 |
| 3.606 | 54 |
| 3.340 | 100 |
| 3.194 | 69 |
| 2.827 | 71 |
| 2.526 | 23 |

***

# 3
Structure and simulated PXRD pattern of RbNa2Ca (a crystal structure in Alexandria, relaxed with PBE; Cu Kα (λ = 1.5418 Å)).
Intensities are scaled so that the largest is 100.

Atomic structure:
Cell lengths 6.7024, 6.7024, 4.1816 Å; angles 90.00, 90.00, 90.00 degrees
Fractional positions:
1 Rb 0.0000 0.0000 0.0000
2 Na 0.0000 0.5000 0.5000
3 Na 0.5000 0.0000 0.5000
4 Ca 0.5000 0.5000 0.0000

Top 6 peaks for 2θ = 10–90°, by angle:
| d [Å] | intensity |
| --- | --- |
| 4.739 | 29 |
| 3.351 | 60 |
| 3.136 | 100 |
| 2.370 | 22 |
| 1.891 | 44 |
| 1.774 | 18 |

***

# 4
Structure and simulated PXRD pattern of Sr2LiNb3O10 (a crystal structure in Alexandria, relaxed with PBE; Cu Kα (λ = 1.5418 Å)).
Intensities are scaled so that the largest is 100.

Atomic structure:
Cell lengths 3.9819, 3.9819, 14.4132 Å; angles 97.94, 97.94, 90.00 degrees
Fractional positions:
1 Sr 0.0806 0.0806 0.1605
2 Sr 0.9194 0.9194 0.8395
3 Li 0.7546 0.2454 0.5000
4 Nb 0.3472 0.3392 0.6868
5 Nb 0.5024 0.4976 0.0000
6 Nb 0.6608 0.6528 0.3132
7 O 0.0126 0.4712 0.9996
8 O 0.1466 0.6367 0.2820
9 O 0.2846 0.2749 0.5597
10 O 0.3633 0.8534 0.7180
11 O 0.4397 0.4202 0.8595
12 O 0.5288 0.9874 0.0004
13 O 0.5798 0.5603 0.1405
14 O 0.6480 0.1378 0.2853
15 O 0.7251 0.7154 0.4403
16 O 0.8622 0.3520 0.7147

Top 6 peaks for 2θ = 10–90°, by angle:
| d [Å] | intensity |
| --- | --- |
| 3.256 | 97 |
| 2.835 | 100 |
| 2.816 | 72 |
| 1.991 | 56 |
| 1.807 | 32 |
| 1.629 | 40 |

***

# 5
Structure and simulated PXRD pattern of Rb2Na3Br5 (a crystal structure in Alexandria, relaxed with PBE; Cu Kα (λ = 1.5418 Å)).
Intensities are scaled so that the largest is 100.

Atomic structure:
Cell lengths 8.2971, 8.2971, 11.3253 Å; angles 123.31, 123.31, 32.17 degrees
Fractional positions:
1 Rb 0.1726 0.1726 0.2675
2 Rb 0.8274 0.8274 0.7325
3 Na 0.0000 0.0000 0.5000
4 Na 0.3842 0.3842 0.1250
5 Na 0.6158 0.6158 0.8750
6 Br 0.1926 0.1926 0.8110
7 Br 0.4157 0.4157 0.5873
8 Br 0.5000 0.5000 0.0000
9 Br 0.5843 0.5843 0.4127
10 Br 0.8074 0.8074 0.1890

Top 6 peaks for 2θ = 10–90°, by angle:
| d [Å] | intensity |
| --- | --- |
| 3.521 | 41 |
| 3.337 | 100 |
| 3.164 | 48 |
| 3.053 | 69 |
| 2.299 | 36 |
| 1.837 | 31 |

***

# 6
Structure and simulated PXRD pattern of TbCeTeN2 (a crystal structure in Alexandria, relaxed with PBE; Cu Kα (λ = 1.5418 Å)).
Intensities are scaled so that the largest is 100.

Atomic structure:
Cell lengths 7.2608, 7.2608, 7.2608 Å; angles 148.15, 148.15, 45.67 degrees
Fractional positions:
1 Tb 0.0000 0.0000 0.0000
2 Ce 0.3390 0.3390 0.0000
3 Te 0.6689 0.6689 0.0000
4 N 0.4160 0.9160 0.5000
5 N 0.9160 0.4160 0.5000

Top 6 peaks for 2θ = 10–90°, by angle:
| d [Å] | intensity |
| --- | --- |
| 2.972 | 100 |
| 2.818 | 38 |
| 1.992 | 18 |
| 1.749 | 23 |
| 1.655 | 35 |
| 1.486 | 11 |

***

# 7
Structure and simulated PXRD pattern of La4TlIrBr2 (a crystal structure in Alexandria, relaxed with PBE; Cu Kα (λ = 1.5418 Å)).
Intensities are scaled so that the largest is 100.

Atomic structure:
Cell lengths 7.9301, 4.2866, 8.1143 Å; angles 90.00, 108.43, 90.00 degrees
Fractional positions:
1 La 0.2151 0.0000 0.2839
2 La 0.2215 0.5000 0.7073
3 La 0.7785 0.5000 0.2927
4 La 0.7849 0.0000 0.7161
5 Tl 0.5000 0.5000 0.5000
6 Ir 0.0000 0.0000 0.5000
7 Br 0.0000 0.5000 0.0000
8 Br 0.5000 0.0000 0.0000

Top 6 peaks for 2θ = 10–90°, by angle:
| d [Å] | intensity |
| --- | --- |
| 7.698 | 41 |
| 3.253 | 47 |
| 3.164 | 100 |
| 2.345 | 19 |
| 2.287 | 32 |
| 2.250 | 33 |

***

# 8
Structure and simulated PXRD pattern of VFe3Pt6 (a crystal structure in Alexandria, relaxed with PBE; Cu Kα (λ = 1.5418 Å)).
Intensities are scaled so that the largest is 100.

Atomic structure:
Cell lengths 4.7214, 7.2433, 9.4965 Å; angles 109.39, 99.28, 102.21 degrees
Fractional positions:
1 V 0.2360 0.3424 0.3949
2 V 0.7640 0.6576 0.6051
3 Fe 0.2491 0.1513 0.6017
4 Fe 0.2502 0.5508 0.2010
5 Fe 0.2510 0.7469 0.9991
6 Fe 0.7490 0.2531 0.0009
7 Fe 0.7498 0.4492 0.7990
8 Fe 0.7509 0.8487 0.3983
9 Pt 0.2443 0.3568 0.9018
10 Pt 0.2480 0.1600 0.1029
11 Pt 0.2489 0.9488 0.3048
12 Pt 0.2515 0.9486 0.7982
13 Pt 0.2576 0.5406 0.6936
14 Pt 0.2603 0.7397 0.4936
15 Pt 0.7397 0.2603 0.5064
16 Pt 0.7424 0.4594 0.3064
17 Pt 0.7485 0.0514 0.2018
18 Pt 0.7511 0.0512 0.6952
19 Pt 0.7520 0.8400 0.8971
20 Pt 0.7557 0.6432 0.0982

Top 6 peaks for 2θ = 10–90°, by angle:
| d [Å] | intensity |
| --- | --- |
| 3.844 | 15 |
| 2.746 | 14 |
| 2.234 | 100 |
| 1.942 | 33 |
| 1.922 | 15 |
| 1.170 | 19 |

***

# 9
Structure and simulated PXRD pattern of U4I (a crystal structure in Alexandria, relaxed with PBE; Cu Kα (λ = 1.5418 Å)).
Intensities are scaled so that the largest is 100.

Atomic structure:
Cell lengths 5.5717, 5.5717, 5.5717 Å; angles 90.00, 90.00, 90.00 degrees
Fractional positions:
1 U 0.0000 0.0000 0.0000
2 U 0.0000 0.5000 0.5000
3 U 0.5000 0.0000 0.5000
4 U 0.5000 0.5000 0.0000
5 I 0.5000 0.5000 0.5000

Top 6 peaks for 2θ = 10–90°, by angle:
| d [Å] | intensity |
| --- | --- |
| 3.217 | 100 |
| 2.786 | 91 |
| 1.970 | 68 |
| 1.680 | 49 |
| 1.246 | 33 |
| 1.137 | 26 |

***

# 10
Structure and simulated PXRD pattern of Ce3Th13 (a crystal structure in Alexandria, relaxed with PBE; Cu Kα (λ = 1.5418 Å)).
Intensities are scaled so that the largest is 100.

Atomic structure:
Cell lengths 10.0598, 7.0450, 7.0450 Å; angles 89.94, 90.00, 90.00 degrees
Fractional positions:
1 Ce 0.0000 0.0000 0.0000
2 Ce 0.2492 0.2506 0.2506
3 Ce 0.7508 0.2506 0.2506
4 Th 0.0000 0.0011 0.4993
5 Th 0.0000 0.4993 0.0011
6 Th 0.0000 0.5003 0.5003
7 Th 0.2489 0.2499 0.7510
8 Th 0.2491 0.7504 0.7504
9 Th 0.2489 0.7510 0.2499
10 Th 0.5000 0.0010 0.0010
11 Th 0.5000 0.0013 0.5003
12 Th 0.5000 0.5003 0.0013
13 Th 0.5000 0.5006 0.5006
14 Th 0.7511 0.2499 0.7510
15 Th 0.7509 0.7504 0.7504
16 Th 0.7511 0.7510 0.2499

Top 6 peaks for 2θ = 10–90°, by angle:
| d [Å] | intensity |
| --- | --- |
| 2.885 | 100 |
| 2.515 | 17 |
| 2.491 | 34 |
| 1.770 | 25 |
| 1.514 | 15 |
| 1.503 | 29 |

***

# 11
Structure and simulated PXRD pattern of Dy11S16 (a crystal structure in Alexandria, relaxed with PBE; Cu Kα (λ = 1.5418 Å)).
Intensities are scaled so that the largest is 100.

Atomic structure:
Cell lengths 8.3288, 16.7229, 8.2911 Å; angles 90.00, 90.00, 90.00 degrees
Fractional positions:
1 Dy 0.0000 0.0000 0.1424
2 Dy 0.0076 0.7513 0.3795
3 Dy 0.1207 0.6234 0.7635
4 Dy 0.1374 0.1195 0.7635
5 Dy 0.2416 0.4408 0.4719
6 Dy 0.2494 0.3189 0.9994
7 Dy 0.2506 0.8189 0.0006
8 Dy 0.2584 0.9408 0.5281
9 Dy 0.3626 0.6195 0.2365
10 Dy 0.3793 0.1234 0.2365
11 Dy 0.4924 0.2513 0.6205
12 Dy 0.5000 0.5000 0.8576
13 Dy 0.5076 0.7487 0.6205
14 Dy 0.6207 0.8766 0.2365
15 Dy 0.6374 0.3805 0.2365
16 Dy 0.7416 0.0592 0.5281
17 Dy 0.7494 0.1811 0.0006
18 Dy 0.7506 0.6811 0.9994
19 Dy 0.7584 0.5592 0.4719
20 Dy 0.8626 0.8805 0.7635
21 Dy 0.8793 0.3766 0.7635
22 Dy 0.9924 0.2487 0.3795
23 S 0.0576 0.0903 0.4460
24 S 0.0727 0.1567 0.0819
25 S 0.0736 0.6693 0.0752
26 S 0.0782 0.5935 0.4393
27 S 0.1702 0.2809 0.6858
28 S 0.1734 0.9611 0.8410
29 S 0.1843 0.4630 0.7949
30 S 0.1898 0.7838 0.6797
31 S 0.3102 0.2838 0.3203
32 S 0.3157 0.9630 0.2051
33 S 0.3266 0.4611 0.1590
34 S 0.3298 0.7809 0.3142
35 S 0.4218 0.0935 0.5607
36 S 0.4264 0.1693 0.9248
37 S 0.4273 0.6567 0.9181
38 S 0.4424 0.5903 0.5540
39 S 0.5576 0.4097 0.5540
40 S 0.5727 0.3433 0.9181
41 S 0.5736 0.8307 0.9248
42 S 0.5782 0.9065 0.5607
43 S 0.6702 0.2191 0.3142
44 S 0.6734 0.5389 0.1590
45 S 0.6843 0.0370 0.2051
46 S 0.6898 0.7162 0.3203
47 S 0.8102 0.2162 0.6797
48 S 0.8157 0.5370 0.7949
49 S 0.8266 0.0389 0.8410
50 S 0.8298 0.7191 0.6858
51 S 0.9218 0.4065 0.4393
52 S 0.9264 0.3307 0.0752
53 S 0.9273 0.8433 0.0819
54 S 0.9424 0.9097 0.4460

Top 6 peaks for 2θ = 10–90°, by angle:
| d [Å] | intensity |
| --- | --- |
| 3.403 | 100 |
| 3.392 | 53 |
| 2.643 | 48 |
| 2.634 | 48 |
| 2.624 | 40 |
| 2.229 | 41 |

***

# 12
Structure and simulated PXRD pattern of RbHfCr2 (a crystal structure in Alexandria, relaxed with PBE; Cu Kα (λ = 1.5418 Å)).
Intensities are scaled so that the largest is 100.

Atomic structure:
Cell lengths 5.0910, 5.0910, 5.0910 Å; angles 60.00, 60.00, 60.00 degrees
Fractional positions:
1 Rb 0.0000 0.0000 0.0000
2 Hf 0.5000 0.5000 0.5000
3 Cr 0.2500 0.2500 0.2500
4 Cr 0.7500 0.7500 0.7500

Top 6 peaks for 2θ = 10–90°, by angle:
| d [Å] | intensity |
| --- | --- |
| 4.157 | 13 |
| 3.600 | 21 |
| 2.546 | 100 |
| 1.800 | 17 |
| 1.470 | 35 |
| 1.138 | 15 |